1.
The following is a theoretical X-ray powder pattern of PmNdSi2. It was derived from a crystal structure in OQMD, relaxed with PBE, using Cu Ka.
Peak positions follow from Bragg's law for the DFT cell and can differ from measured ones.

Atomic structure:
```
PmNdSi2
1.0
3.931 0.000 0.000
0.000 5.900 0.000
0.000 0.000 8.213
Pm Nd Si
2 2 4
Cartesian
0.000 0.802 0.000
0.000 5.098 4.106
1.965 2.149 2.951
1.965 3.751 7.057
0.000 2.191 5.293
0.000 3.709 1.187
1.965 0.743 5.875
1.965 5.157 1.769
```

Most intense lines, 2θ from 10° to 80°, most intense first:
2θ 29.39, I 100
2θ 32.24, I 82
2θ 31.51, I 73
2θ 36.17, I 48
2θ 35.07, I 43
2θ 39.75, I 40
2θ 27.26, I 38
2θ 51.11, I 34
2θ 57.45, I 32
2θ 26.44, I 31

=====

2.
The following is a theoretical X-ray powder pattern of Cd2P2Cl. It was derived from a crystal structure in OQMD, relaxed with PBE, using Cu Ka.
Peak positions follow from Bragg's law for the DFT cell and can differ from measured ones.

Atomic structure:
```
Cd2P2Cl
1.0
-3.696 5.170 2.972
3.696 -5.170 2.972
3.696 5.170 -2.972
Cd P Cl
4 4 2
Cartesian
1.296 1.906 0.000
4.992 3.264 0.000
-1.296 1.906 2.972
2.401 3.264 2.972
3.638 1.099 -0.011
3.638 -1.099 2.961
0.058 6.269 -0.011
0.058 4.072 2.961
0.000 0.000 1.484
0.000 0.000 4.456
```

Most intense lines, 2θ from 10° to 80°, most intense first:
2θ 29.74, I 100
2θ 25.82, I 90
2θ 39.94, I 48
2θ 30.07, I 42
2θ 45.24, I 30
2θ 34.82, I 27
2θ 17.15, I 26
2θ 52.61, I 24
2θ 48.81, I 19
2θ 55.28, I 18

=====

3.
The following is a theoretical X-ray powder pattern of Sc2Mo4Pb3N3. It was derived from a crystal structure in OQMD, relaxed with PBE, using Cu Ka.
Peak positions follow from Bragg's law for the DFT cell and can differ from measured ones.

Atomic structure:
```
Sc2Mo4Pb3N3
1.0
4.958 -2.867 0.000
4.958 2.867 0.000
-3.180 0.000 13.609
Sc Mo Pb N
4 8 6 6
Cartesian
2.483 2.364 7.944
2.662 2.364 12.470
4.073 -2.364 1.140
4.252 -2.364 5.665
2.559 0.534 0.979
2.540 0.380 5.831
0.969 -0.534 7.784
0.950 -0.380 12.636
5.785 0.380 0.974
5.766 0.534 5.825
4.195 -0.380 7.778
4.176 -0.534 12.630
-0.656 0.547 10.170
0.934 -0.547 3.365
2.573 0.405 10.207
4.163 -0.405 3.402
5.801 0.547 10.245
7.391 -0.547 3.440
0.889 1.434 6.805
4.168 1.491 0.000
4.157 1.491 6.805
2.479 -1.434 0.000
2.578 -1.491 6.805
5.747 -1.491 0.000
```

Most intense lines, 2θ from 10° to 80°, most intense first:
2θ 36.99, I 100
2θ 37.09, I 100
2θ 37.27, I 95
2θ 31.22, I 68
2θ 55.56, I 63
2θ 39.74, I 49
2θ 13.01, I 45
2θ 31.89, I 39
2θ 26.19, I 37
2θ 68.61, I 30

=====

4.
The following is a theoretical X-ray powder pattern of SrYAl4Pd2. It was derived from a crystal structure in OQMD, relaxed with PBE, using Cu Ka.
Peak positions follow from Bragg's law for the DFT cell and can differ from measured ones.

Atomic structure:
```
SrYAl4Pd2
1.0
7.246 0.000 0.000
0.000 4.274 0.000
0.000 0.000 10.473
Sr Y Al Pd
2 2 8 4
Cartesian
0.000 0.000 0.000
0.000 2.137 5.237
3.623 0.000 9.168
3.623 2.137 3.932
1.450 0.000 2.959
1.450 2.137 8.196
2.258 0.000 6.222
2.258 2.137 0.985
4.988 0.000 6.222
4.988 2.137 0.985
5.796 0.000 2.959
5.796 2.137 8.196
0.000 0.000 7.562
0.000 2.137 2.325
3.623 0.000 1.609
3.623 2.137 6.846
```

Most intense lines, 2θ from 10° to 80°, most intense first:
2θ 35.44, I 100
2θ 33.54, I 65
2θ 24.57, I 53
2θ 36.49, I 52
2θ 42.29, I 32
2θ 22.47, I 31
2θ 50.68, I 30
2θ 57.06, I 28
2θ 25.65, I 25
2θ 43.92, I 22

=====

5.
The following is a theoretical X-ray powder pattern of NdTm2Al7Cu2. It was derived from a crystal structure in OQMD, relaxed with PBE, using Cu Ka.
Peak positions follow from Bragg's law for the DFT cell and can differ from measured ones.

Atomic structure:
```
NdTm2Al7Cu2
1.0
2.746 1.586 8.498
-2.746 1.586 8.498
0.000 -3.171 8.498
Nd Tm Al Cu
1 2 7 2
Cartesian
0.000 0.000 0.000
0.000 0.000 3.625
0.000 0.000 21.869
-1.399 -0.808 10.534
0.000 -1.615 14.961
-1.399 0.808 14.961
0.000 0.000 12.747
1.399 -0.808 10.534
0.000 1.615 10.534
1.399 0.808 14.961
0.000 0.000 8.543
0.000 0.000 16.952
```

Most intense lines, 2θ from 10° to 80°, most intense first:
2θ 39.05, I 100
2θ 32.61, I 90
2θ 30.92, I 52
2θ 18.98, I 41
2θ 33.86, I 31
2θ 20.91, I 31
2θ 64.46, I 27
2θ 38.00, I 27
2θ 62.52, I 25
2θ 57.13, I 19

=====

6.
The following is a theoretical X-ray powder pattern of FeAsS. It was derived from a crystal structure in OQMD, relaxed with PBE, using Cu Ka.
Peak positions follow from Bragg's law for the DFT cell and can differ from measured ones.

Atomic structure:
```
FeAsS
1.0
5.733 0.000 0.000
0.000 5.661 0.000
-2.152 0.000 5.335
Fe As S
4 4 4
Cartesian
0.780 0.047 1.082
-0.296 2.784 3.749
3.877 2.878 1.586
2.801 5.615 4.253
1.753 3.575 0.685
0.677 4.918 3.353
2.904 0.744 1.982
1.828 2.087 4.650
-0.899 0.754 4.389
0.177 2.077 1.722
3.403 3.585 3.613
4.479 4.907 0.946
```

Most intense lines, 2θ from 10° to 80°, most intense first:
2θ 36.95, I 100
2θ 37.37, I 55
2θ 37.26, I 49
2θ 50.45, I 48
2θ 56.56, I 46
2θ 24.43, I 44
2θ 50.28, I 41
2θ 33.72, I 41
2θ 33.60, I 31
2θ 35.30, I 26

=====

Question: What is the formula in the fourth record?
Answer: SrYAl4Pd2

=====

Question: What is the formula in the first record?
Answer: PmNdSi2